1.
KPb2Au4: computed X-ray diffraction stick pattern (Cu Kα (λ = 1.5418 Å)), based on a DFT-relaxed cell (GGA-PBE, Alexandria).
Peak positions follow from Bragg's law for the DFT cell and can differ from measured ones.

The 8 most intense peaks (2θ from 5° to 70°), by intensity:
2theta, I_rel
38.11, 100
30.43, 53
13.48, 49
62.85, 34
41.23, 25
38.77, 24
19.11, 17
51.57, 16

Cell: 7.854 7.854 7.854 Å, 107.49 107.49 113.52°
Fractional coordinates of all 14 atoms:
K (0.250, 0.250, 0.000)
K (0.750, 0.750, 0.000)
Pb (0.138, 0.638, 0.776)
Pb (0.362, 0.138, 0.500)
Pb (0.638, 0.862, 0.500)
Pb (0.862, 0.362, 0.224)
Au (0.009, 0.820, 0.500)
Au (0.180, 0.680, 0.189)
Au (0.320, 0.509, 0.500)
Au (0.491, 0.991, 0.811)
Au (0.509, 0.009, 0.189)
Au (0.680, 0.491, 0.500)
Au (0.820, 0.320, 0.811)
Au (0.991, 0.180, 0.500)



2.
KSb2PbAu5: computed X-ray diffraction stick pattern (Cu Kα (λ = 1.5418 Å)), based on a DFT-relaxed cell (GGA-PBE, Alexandria).
Peak positions follow from Bragg's law for the DFT cell and can differ from measured ones.

The 8 most intense peaks (2θ from 5° to 70°), by intensity:
2theta, I_rel
34.54, 100
8.93, 85
44.11, 66
19.30, 43
25.88, 37
36.60, 37
30.30, 36
49.65, 36

Cell: 5.193 5.193 9.905 Å, 90.00 90.00 90.00°
Fractional coordinates of all 9 atoms:
K (0.000, 0.000, 0.000)
Sb (0.500, 0.500, 0.264)
Sb (0.500, 0.500, 0.736)
Pb (0.000, 0.000, 0.500)
Au (0.000, 0.500, 0.341)
Au (0.000, 0.500, 0.659)
Au (0.500, 0.000, 0.341)
Au (0.500, 0.000, 0.659)
Au (0.500, 0.500, 0.000)



3.
KSn2Pb2Au6: computed X-ray diffraction stick pattern (Cu Kα (λ = 1.5418 Å)), based on a DFT-relaxed cell (GGA-PBE, Alexandria).
Peak positions follow from Bragg's law for the DFT cell and can differ from measured ones.

The 8 most intense peaks (2θ from 5° to 70°), by intensity:
2theta, I_rel
30.12, 100
14.45, 95
37.97, 74
38.09, 73
39.11, 65
39.57, 58
39.73, 57
29.62, 45

Cell: 6.778 7.000 7.427 Å, 79.58 63.02 61.26°
Fractional coordinates of all 11 atoms:
K (0.000, 0.000, 0.000)
Sn (0.415, 0.231, 0.937)
Sn (0.585, 0.769, 0.063)
Pb (0.151, 0.202, 0.499)
Pb (0.849, 0.798, 0.501)
Au (0.075, 0.535, 0.781)
Au (0.385, 0.732, 0.494)
Au (0.392, 0.464, 0.219)
Au (0.608, 0.536, 0.781)
Au (0.615, 0.268, 0.506)
Au (0.925, 0.465, 0.219)



4.
K2SnPb6Au: computed X-ray diffraction stick pattern (Cu Kα (λ = 1.5418 Å)), based on a DFT-relaxed cell (GGA-PBE, Alexandria).
Peak positions follow from Bragg's law for the DFT cell and can differ from measured ones.

The 8 most intense peaks (2θ from 5° to 70°), by intensity:
2theta, I_rel
30.23, 100
13.12, 100
35.69, 91
34.77, 87
16.91, 58
28.18, 58
45.67, 46
44.33, 39

Cell: 14.243 14.243 14.243 Å, 32.40 32.40 32.40°
Fractional coordinates of all 20 atoms:
K (0.104, 0.104, 0.104)
K (0.278, 0.278, 0.278)
K (0.722, 0.722, 0.722)
K (0.896, 0.896, 0.896)
Sn (0.426, 0.426, 0.426)
Sn (0.574, 0.574, 0.574)
Pb (0.083, 0.665, 0.665)
Pb (0.222, 0.222, 0.640)
Pb (0.222, 0.640, 0.222)
Pb (0.335, 0.335, 0.917)
Pb (0.335, 0.917, 0.335)
Pb (0.360, 0.778, 0.778)
Pb (0.640, 0.222, 0.222)
Pb (0.665, 0.083, 0.665)
Pb (0.665, 0.665, 0.083)
Pb (0.778, 0.360, 0.778)
Pb (0.778, 0.778, 0.360)
Pb (0.917, 0.335, 0.335)
Au (0.000, 0.000, 0.000)
Au (0.500, 0.500, 0.500)



5.
KZnPbAu3: computed X-ray diffraction stick pattern (Cu Kα (λ = 1.5418 Å)), based on a DFT-relaxed cell (GGA-PBE, Alexandria).
Peak positions follow from Bragg's law for the DFT cell and can differ from measured ones.

The 8 most intense peaks (2θ from 5° to 70°), by intensity:
2theta, I_rel
19.50, 100
33.71, 69
27.71, 67
36.95, 56
39.59, 49
13.75, 49
39.16, 30
49.73, 24

Cell: 7.344 7.344 7.363 Å, 92.45 92.45 122.52°
Fractional coordinates of all 12 atoms:
K (0.242, 0.758, 0.750)
K (0.758, 0.242, 0.250)
Zn (0.488, 0.512, 0.250)
Zn (0.512, 0.488, 0.750)
Pb (0.063, 0.937, 0.250)
Pb (0.937, 0.063, 0.750)
Au (0.209, 0.340, 0.484)
Au (0.286, 0.714, 0.250)
Au (0.340, 0.209, 0.984)
Au (0.660, 0.791, 0.016)
Au (0.714, 0.286, 0.750)
Au (0.791, 0.660, 0.516)



6.
K2Pd2Au: computed X-ray diffraction stick pattern (Cu Kα (λ = 1.5418 Å)), based on a DFT-relaxed cell (GGA-PBE, Alexandria).
Peak positions follow from Bragg's law for the DFT cell and can differ from measured ones.

The 8 most intense peaks (2θ from 5° to 70°), by intensity:
2theta, I_rel
17.20, 100
33.55, 69
44.64, 53
40.86, 51
30.93, 45
54.73, 43
34.81, 40
24.97, 20

Cell: 6.984 6.984 5.155 Å, 90.00 90.00 90.00°
Fractional coordinates of all 10 atoms:
K (0.178, 0.322, 0.000)
K (0.322, 0.822, 0.000)
K (0.678, 0.178, 0.000)
K (0.822, 0.678, 0.000)
Pd (0.134, 0.634, 0.500)
Pd (0.366, 0.134, 0.500)
Pd (0.634, 0.866, 0.500)
Pd (0.866, 0.366, 0.500)
Au (0.000, 0.000, 0.500)
Au (0.500, 0.500, 0.500)



7.
K4PdAu: computed X-ray diffraction stick pattern (Cu Kα (λ = 1.5418 Å)), based on a DFT-relaxed cell (GGA-PBE, Alexandria).
Peak positions follow from Bragg's law for the DFT cell and can differ from measured ones.

The 8 most intense peaks (2θ from 5° to 70°), by intensity:
2theta, I_rel
16.04, 100
32.29, 86
27.84, 65
32.40, 39
36.35, 36
43.23, 29
57.72, 22
60.12, 17

Cell: 9.615 9.615 9.615 Å, 132.03 132.03 70.17°
Fractional coordinates of all 12 atoms:
K (0.075, 0.575, 0.911)
K (0.164, 0.075, 0.500)
K (0.336, 0.836, 0.911)
K (0.425, 0.336, 0.500)
K (0.575, 0.664, 0.500)
K (0.664, 0.164, 0.089)
K (0.836, 0.925, 0.500)
K (0.925, 0.425, 0.089)
Pd (0.250, 0.250, 0.000)
Pd (0.750, 0.750, 0.000)
Au (0.000, 0.000, 0.000)
Au (0.500, 0.500, 0.000)



8.
KPdAu: computed X-ray diffraction stick pattern (Cu Kα (λ = 1.5418 Å)), based on a DFT-relaxed cell (GGA-PBE, Alexandria).
Peak positions follow from Bragg's law for the DFT cell and can differ from measured ones.

The 8 most intense peaks (2θ from 5° to 70°), by intensity:
2theta, I_rel
29.45, 100
18.49, 81
44.30, 69
39.89, 61
55.89, 45
22.72, 38
37.49, 24
50.36, 22

Cell: 4.520 4.520 4.798 Å, 90.00 90.00 120.00°
Fractional coordinates of all 3 atoms:
K (0.000, 0.000, 0.000)
Pd (0.333, 0.667, 0.500)
Au (0.667, 0.333, 0.500)



9.
K6PdAu2: computed X-ray diffraction stick pattern (Cu Kα (λ = 1.5418 Å)), based on a DFT-relaxed cell (GGA-PBE, Alexandria).
Peak positions follow from Bragg's law for the DFT cell and can differ from measured ones.

The 8 most intense peaks (2θ from 5° to 70°), by intensity:
2theta, I_rel
30.96, 100
17.92, 95
31.93, 38
44.92, 34
18.49, 32
27.61, 25
15.71, 22
34.90, 20

Cell: 11.766 11.766 11.766 Å, 28.42 28.42 28.42°
Fractional coordinates of all 9 atoms:
K (0.083, 0.083, 0.083)
K (0.196, 0.196, 0.196)
K (0.310, 0.310, 0.310)
K (0.690, 0.690, 0.690)
K (0.804, 0.804, 0.804)
K (0.917, 0.917, 0.917)
Pd (0.500, 0.500, 0.500)
Au (0.419, 0.419, 0.419)
Au (0.581, 0.581, 0.581)



10.
KTlPdAu: computed X-ray diffraction stick pattern (Cu Kα (λ = 1.5418 Å)), based on a DFT-relaxed cell (GGA-PBE, Alexandria).
Peak positions follow from Bragg's law for the DFT cell and can differ from measured ones.

The 8 most intense peaks (2θ from 5° to 70°), by intensity:
2theta, I_rel
15.11, 100
37.37, 58
40.53, 54
29.53, 31
48.98, 24
33.33, 15
30.49, 15
46.71, 12

Cell: 4.812 4.812 17.589 Å, 90.00 90.00 120.00°
Fractional coordinates of all 12 atoms:
K (0.000, 0.000, 0.000)
K (0.333, 0.667, 0.667)
K (0.667, 0.333, 0.333)
Tl (0.000, 0.000, 0.524)
Tl (0.333, 0.667, 0.191)
Tl (0.667, 0.333, 0.858)
Pd (0.000, 0.000, 0.180)
Pd (0.333, 0.667, 0.846)
Pd (0.667, 0.333, 0.513)
Au (0.000, 0.000, 0.807)
Au (0.333, 0.667, 0.473)
Au (0.667, 0.333, 0.140)



11.
KPmAu2: computed X-ray diffraction stick pattern (Cu Kα (λ = 1.5418 Å)), based on a DFT-relaxed cell (GGA-PBE, Alexandria).
Peak positions follow from Bragg's law for the DFT cell and can differ from measured ones.

The 8 most intense peaks (2θ from 5° to 70°), by intensity:
2theta, I_rel
32.38, 100
10.96, 85
33.40, 70
41.12, 51
59.05, 36
47.93, 35
64.97, 27
35.25, 23

Cell: 3.794 3.794 8.075 Å, 90.00 90.00 90.00°
Fractional coordinates of all 4 atoms:
K (0.000, 0.000, 0.000)
Pm (0.000, 0.000, 0.500)
Au (0.500, 0.500, 0.311)
Au (0.500, 0.500, 0.689)



12.
KPrSbAu: computed X-ray diffraction stick pattern (Cu Kα (λ = 1.5418 Å)), based on a DFT-relaxed cell (GGA-PBE, Alexandria).
Peak positions follow from Bragg's law for the DFT cell and can differ from measured ones.

The 8 most intense peaks (2θ from 5° to 70°), by intensity:
2theta, I_rel
32.55, 100
58.08, 38
46.70, 18
19.76, 14
68.18, 12
22.86, 9
38.37, 8
52.61, 4

Cell: 7.780 7.780 7.780 Å, 90.00 90.00 90.00°
Fractional coordinates of all 16 atoms:
K (0.000, 0.000, 0.000)
K (0.000, 0.500, 0.500)
K (0.500, 0.000, 0.500)
K (0.500, 0.500, 0.000)
Pr (0.000, 0.000, 0.500)
Pr (0.000, 0.500, 0.000)
Pr (0.500, 0.000, 0.000)
Pr (0.500, 0.500, 0.500)
Sb (0.250, 0.250, 0.750)
Sb (0.250, 0.750, 0.250)
Sb (0.750, 0.250, 0.250)
Sb (0.750, 0.750, 0.750)
Au (0.250, 0.250, 0.250)
Au (0.250, 0.750, 0.750)
Au (0.750, 0.250, 0.750)
Au (0.750, 0.750, 0.250)



13.
KPtAu2: computed X-ray diffraction stick pattern (Cu Kα (λ = 1.5418 Å)), based on a DFT-relaxed cell (GGA-PBE, Alexandria).
Peak positions follow from Bragg's law for the DFT cell and can differ from measured ones.

The 8 most intense peaks (2θ from 5° to 70°), by intensity:
2theta, I_rel
11.87, 100
32.54, 60
38.27, 57
39.56, 36
42.60, 28
40.21, 23
60.96, 20
48.40, 20

Cell: 2.878 4.081 7.454 Å, 90.00 90.00 90.00°
Fractional coordinates of all 4 atoms:
K (0.000, 0.000, 0.000)
Pt (0.000, 0.000, 0.500)
Au (0.500, 0.500, 0.311)
Au (0.500, 0.500, 0.689)



14.
K6PtAu3: computed X-ray diffraction stick pattern (Cu Kα (λ = 1.5418 Å)), based on a DFT-relaxed cell (GGA-PBE, Alexandria).
Peak positions follow from Bragg's law for the DFT cell and can differ from measured ones.

The 8 most intense peaks (2θ from 5° to 70°), by intensity:
2theta, I_rel
16.80, 100
18.40, 61
31.24, 50
38.68, 33
33.18, 31
47.67, 23
34.29, 21
29.59, 20

Cell: 9.645 6.306 14.033 Å, 90.00 131.80 90.00°
Fractional coordinates of all 20 atoms:
K (0.089, 0.065, 0.424)
K (0.089, 0.435, 0.924)
K (0.252, 0.555, 0.425)
K (0.252, 0.945, 0.925)
K (0.404, 0.718, 0.242)
K (0.404, 0.782, 0.742)
K (0.596, 0.218, 0.258)
K (0.596, 0.282, 0.758)
K (0.748, 0.055, 0.075)
K (0.748, 0.445, 0.575)
K (0.911, 0.565, 0.076)
K (0.911, 0.935, 0.576)
Pt (0.000, 0.000, 0.000)
Pt (0.000, 0.500, 0.500)
Au (0.229, 0.151, 0.244)
Au (0.229, 0.349, 0.744)
Au (0.500, 0.000, 0.500)
Au (0.500, 0.500, 0.000)
Au (0.771, 0.651, 0.256)
Au (0.771, 0.849, 0.756)